Computed powder diffraction line list
Compound: Ba5Au
Radiation: Cu Kα (λ = 1.5418 Å)
Structure: a DFT-relaxed cell (PBE, Alexandria)

Cell and atoms:
abc: 19.4872 4.3957 7.8641
angles: 90.00 101.48 90.00
Element x y z (fractional)
Ba 0.0000 0.0000 0.0000
Ba 0.0671 0.5000 0.5822
Ba 0.1914 0.5000 0.1574
Ba 0.3029 0.0000 0.7141
Ba 0.3774 0.0000 0.2797
Ba 0.5000 0.5000 0.0000
Ba 0.5671 0.0000 0.5822
Ba 0.6914 0.0000 0.1574
Ba 0.8029 0.5000 0.7141
Ba 0.8774 0.5000 0.2797
Au 0.4268 0.5000 0.5916
Au 0.9268 0.0000 0.5916

Largest 8 diffraction maxima, by angle, 10° ≤ 2θ ≤ 90°:
d = 6.682 Å, rel. 332
d = 3.851 Å, rel. 666
d = 3.739 Å, rel. 368
d = 3.617 Å, rel. 850
d = 3.427 Å, rel. 1000
d = 3.173 Å, rel. 703
d = 3.141 Å, rel. 452
d = 2.802 Å, rel. 945